(1)
Diffraction record for Cs3PrU2Se6. The X-ray powder pattern is theoretical, not measured: it uses DFT lattice parameters and positions (PBE) and λ = 1.5418 Å (Cu Kα).

Structure:
```
12
Lattice="3.749 -6.494 0.000 3.749 6.494 0.000 -2.498 0.000 8.430" Properties=species:S:1:pos:R:3 pbc="T T T"
Cs 0.000 0.000 0.000
Cs 3.749 2.132 0.000
Cs 3.749 -2.132 0.000
Pr 2.500 0.000 4.215
U 2.500 4.326 4.215
U 2.500 -4.326 4.215
Se 1.213 2.227 2.619
Se -0.072 0.000 5.802
Se 1.213 -2.227 2.619
Se 3.787 2.227 5.811
Se 5.072 0.000 2.628
Se 3.787 -2.227 5.811
```

Most intense lines, 10° ≤ 2θ ≤ 90°, sorted by position:
two_theta, I (rel.)
10.49, 22
24.77, 18
27.66, 100
37.20, 36
41.73, 36
50.80, 19

(2)
Diffraction record for Dy11Tl9In4. The X-ray powder pattern is theoretical, not measured: it uses DFT lattice parameters and positions (PBE) and λ = 1.5418 Å (Cu Kα).

Structure:
```
24
Lattice="8.574 -10.580 0.000 8.574 10.580 0.000 0.000 0.000 3.591" Properties=species:S:1:pos:R:3 pbc="T T T"
Dy 0.000 0.000 0.000
Dy 4.083 3.590 0.000
Dy 8.574 6.669 0.000
Dy 3.956 0.000 0.000
Dy 8.574 2.892 0.000
Dy 4.083 -3.590 0.000
Dy 13.065 3.590 0.000
Dy 8.574 -2.892 0.000
Dy 13.192 0.000 0.000
Dy 8.574 -6.669 0.000
Dy 13.065 -3.590 0.000
Tl 1.928 1.923 1.796
Tl 6.481 4.926 1.796
Tl 1.928 -1.923 1.796
Tl 10.667 4.926 1.796
Tl 8.574 0.000 1.796
Tl 6.481 -4.926 1.796
Tl 15.220 1.923 1.796
Tl 10.667 -4.926 1.796
Tl 15.220 -1.923 1.796
In 6.006 1.703 1.796
In 6.006 -1.703 1.796
In 11.142 1.703 1.796
In 11.142 -1.703 1.796
```

Most intense lines, 10° ≤ 2θ ≤ 90°, sorted by position:
two_theta, I (rel.)
32.52, 100
32.89, 93
33.13, 36
33.64, 28
35.68, 66
61.89, 31

(3)
Diffraction record for LaGa4Ag12. The X-ray powder pattern is theoretical, not measured: it uses DFT lattice parameters and positions (PBE) and λ = 1.5418 Å (Cu Kα).

Structure:
```
17
Lattice="-4.531 4.531 4.531 4.531 -4.531 4.531 4.531 4.531 -4.531" Properties=species:S:1:pos:R:3 pbc="T T T"
La 0.000 0.000 0.000
Ga 2.266 2.266 -2.266
Ga 2.266 -2.266 2.266
Ga -2.266 2.266 2.266
Ga 2.266 2.266 2.266
Ag 3.143 0.000 1.404
Ag 5.920 0.000 1.404
Ag 4.531 3.128 -1.389
Ag 1.404 3.143 0.000
Ag 3.128 -1.389 4.531
Ag 4.531 3.128 1.389
Ag 0.000 1.404 3.143
Ag 1.404 5.920 0.000
Ag 3.128 1.389 4.531
Ag 0.000 1.404 5.920
Ag -1.389 4.531 3.128
Ag 1.389 4.531 3.128
```

Most intense lines, 10° ≤ 2θ ≤ 90°, sorted by position:
two_theta, I (rel.)
31.21, 100
37.12, 41
44.72, 16
49.26, 23
51.41, 33
70.47, 15

(4)
Diffraction record for PmSm7Er3. The X-ray powder pattern is theoretical, not measured: it uses DFT lattice parameters and positions (PBE) and λ = 1.5418 Å (Cu Kα).

Structure:
```
22
Lattice="9.511 -3.600 0.000 9.511 3.600 0.000 -5.359 0.000 11.208" Properties=species:S:1:pos:R:3 pbc="T T T"
Pm 0.000 0.000 0.000
Pm -2.679 0.000 5.604
Sm 3.792 1.810 5.265
Sm 1.105 1.801 10.866
Sm 5.492 1.851 8.406
Sm 5.221 0.045 2.511
Sm 2.542 -0.045 8.115
Sm 12.550 1.810 0.340
Sm 9.879 1.801 5.946
Sm 3.785 -1.801 5.262
Sm 1.113 -1.810 10.869
Sm 11.122 0.045 3.093
Sm 8.442 -0.045 8.697
Sm 8.171 -1.851 2.802
Sm 12.558 -1.801 0.342
Sm 9.871 -1.810 5.944
Er 1.708 0.019 3.106
Er -0.972 -0.019 8.710
Er 9.511 0.000 0.000
Er 6.832 0.000 5.604
Er 14.635 0.019 2.498
Er 11.955 -0.019 8.102
```

Most intense lines, 10° ≤ 2θ ≤ 90°, sorted by position:
two_theta, I (rel.)
31.27, 52
31.95, 100
33.60, 59
33.77, 29
50.88, 26
60.81, 31

(5)
Diffraction record for Ac3AlSn3. The X-ray powder pattern is theoretical, not measured: it uses DFT lattice parameters and positions (PBE) and λ = 1.5418 Å (Cu Kα).

Structure:
```
14
Lattice="6.193 -2.424 0.000 6.193 2.424 0.000 -5.081 0.000 15.107" Properties=species:S:1:pos:R:3 pbc="T T T"
Ac -1.771 0.000 5.803
Ac -3.387 0.000 13.903
Ac 1.742 0.000 3.495
Ac 5.563 0.000 11.612
Ac 10.693 0.000 1.204
Ac 9.077 0.000 9.304
Al 0.241 0.000 9.335
Al 7.065 0.000 5.771
Sn 1.899 0.000 6.902
Sn 0.038 0.000 13.960
Sn 2.078 0.000 11.578
Sn 5.228 0.000 3.529
Sn 7.268 0.000 1.146
Sn 5.407 0.000 8.205
```

Most intense lines, 10° ≤ 2θ ≤ 90°, sorted by position:
two_theta, I (rel.)
28.23, 37
28.43, 52
28.98, 100
32.89, 27
34.38, 38
37.10, 35

(6)
Diffraction record for Sm5Ho6Mg. The X-ray powder pattern is theoretical, not measured: it uses DFT lattice parameters and positions (PBE) and λ = 1.5418 Å (Cu Kα).

Structure:
```
12
Lattice="-2.513 5.024 7.502 2.513 -5.024 7.502 2.513 5.024 -7.502" Properties=species:S:1:pos:R:3 pbc="T T T"
Sm 0.000 0.000 0.000
Sm 2.513 0.000 2.485
Sm 0.000 0.000 4.991
Sm 0.000 0.000 10.013
Sm 0.000 5.024 5.017
Ho 2.513 -2.490 5.004
Ho 2.513 2.518 0.000
Ho 0.000 2.534 2.498
Ho 2.513 2.490 5.004
Ho 0.000 2.506 7.502
Ho 0.000 7.514 2.498
Mg 0.000 5.024 0.000
```

Most intense lines, 10° ≤ 2θ ≤ 90°, sorted by position:
two_theta, I (rel.)
30.87, 100
35.74, 34
35.91, 17
51.57, 24
61.20, 29
61.43, 14